1.
This entry pairs a crystal structure of Pt5C3 with its theoretical X-ray diffraction stick pattern. Radiation: Cu Kα (λ = 1.5418 Å). Structure: DFT lattice parameters and positions (GGA-PBE).
Peak positions follow from Bragg's law for the DFT cell and can differ from measured ones.

Top 10 peaks for 2θ = 5–70°, sorted by position:
Position (°2θ), Rel. int.
13.41, 65
23.76, 43
27.38, 70
29.58, 63
33.43, 88
35.49, 100
35.72, 70
40.28, 51
42.16, 42
43.12, 64

Structure:
```
Pt5C3
1.0
5.0749 0.0000 0.0000
0.0000 7.4911 0.0000
-0.5272 0.0000 6.6007
Pt C
10 6
Direct
0.1944 0.2500 0.2767
0.2503 0.2500 0.8242
0.2583 0.5657 0.0512
0.2583 0.9343 0.0512
0.2893 0.7500 0.5460
0.7107 0.2500 0.4540
0.7417 0.0657 0.9488
0.7417 0.4343 0.9488
0.7497 0.7500 0.1758
0.8056 0.7500 0.7233
0.1340 0.7500 0.2534
0.1933 0.7500 0.8305
0.3601 0.2500 0.5522
0.6399 0.7500 0.4478
0.8067 0.2500 0.1695
0.8660 0.2500 0.7466
```


2.
This entry pairs a crystal structure of PtC4 with its theoretical X-ray diffraction stick pattern. Radiation: Cu Kα (λ = 1.5418 Å). Structure: DFT lattice parameters and positions (GGA-PBE).
Peak positions follow from Bragg's law for the DFT cell and can differ from measured ones.

Top 10 peaks for 2θ = 5–70°, sorted by position:
Position (°2θ), Rel. int.
14.84, 100
29.93, 23
35.71, 35
38.86, 77
45.58, 6
47.26, 41
59.21, 24
62.19, 3
64.15, 11
66.25, 13

Structure:
```
PtC4
1.0
2.9036 0.0000 0.0000
-1.4518 2.5146 0.0000
0.0000 0.0000 5.9706
Pt C
1 4
Direct
0.0000 0.0000 0.0000
0.3333 0.6667 0.2089
0.3333 0.6667 0.4529
0.6667 0.3333 0.5471
0.6667 0.3333 0.7911
```


3.
This entry pairs a crystal structure of Pt4C3 with its theoretical X-ray diffraction stick pattern. Radiation: Cu Kα (λ = 1.5418 Å). Structure: DFT lattice parameters and positions (GGA-PBE).
Peak positions follow from Bragg's law for the DFT cell and can differ from measured ones.

Top 8 peaks for 2θ = 5–70°, sorted by position:
Position (°2θ), Rel. int.
19.57, 4
34.24, 100
39.74, 45
44.67, 3
49.20, 8
57.46, 34
61.31, 3
68.62, 35

Structure:
```
Pt4C3
1.0
4.5360 0.0000 0.0000
0.0000 4.5360 0.0000
0.0000 0.0000 4.5360
Pt C
4 3
Direct
0.2290 0.2290 0.7710
0.2290 0.7710 0.2290
0.7710 0.2290 0.2290
0.7710 0.7710 0.7710
0.0000 0.5000 0.5000
0.5000 0.0000 0.5000
0.5000 0.5000 0.0000
```


4.
This entry pairs a crystal structure of Pt3C5 with its theoretical X-ray diffraction stick pattern. Radiation: Cu Kα (λ = 1.5418 Å). Structure: DFT lattice parameters and positions (GGA-PBE).
Peak positions follow from Bragg's law for the DFT cell and can differ from measured ones.

Top 10 peaks for 2θ = 5–70°, sorted by position:
Position (°2θ), Rel. int.
10.91, 48
21.92, 32
23.12, 39
30.07, 70
32.63, 92
33.21, 90
34.87, 100
38.75, 31
50.56, 53
57.40, 25

Structure:
```
Pt3C5
1.0
2.9161 -4.3690 0.0000
2.9161 4.3690 0.0000
-2.9150 0.0000 8.1085
Pt C
6 10
Direct
0.0000 0.0000 0.0000
0.1729 0.1729 0.3497
0.3127 0.8140 0.6294
0.4306 0.7813 0.2128
0.7813 0.4306 0.2128
0.8140 0.3127 0.6294
0.0216 0.4346 0.4586
0.2085 0.6129 0.8283
0.2266 0.7458 0.9746
0.3602 0.3602 0.1871
0.4346 0.0216 0.4586
0.6129 0.2085 0.8283
0.7458 0.2266 0.9746
0.7466 0.8941 0.6457
0.8241 0.8241 0.1851
0.8941 0.7466 0.6457
```


5.
This entry pairs a crystal structure of Pt4C23 with its theoretical X-ray diffraction stick pattern. Radiation: Cu Kα (λ = 1.5418 Å). Structure: DFT lattice parameters and positions (GGA-PBE).
Peak positions follow from Bragg's law for the DFT cell and can differ from measured ones.

Top 10 peaks for 2θ = 5–70°, sorted by position:
Position (°2θ), Rel. int.
24.59, 32
27.55, 100
30.24, 85
43.29, 16
45.15, 41
46.96, 76
50.42, 27
56.87, 17
58.41, 27
69.98, 25

Structure:
```
Pt4C23
1.0
7.2401 0.0000 0.0000
0.0000 7.2401 0.0000
0.0000 0.0000 7.2401
Pt C
8 46
Direct
0.0000 0.0000 0.0000
0.0000 0.2500 0.5000
0.0000 0.7500 0.5000
0.2500 0.5000 0.0000
0.5000 0.0000 0.2500
0.5000 0.0000 0.7500
0.5000 0.5000 0.5000
0.7500 0.5000 0.0000
0.0000 0.3046 0.1325
0.0000 0.3046 0.8675
0.0000 0.5000 0.2500
0.0000 0.5000 0.7500
0.0000 0.6954 0.1325
0.0000 0.6954 0.8675
0.1325 0.0000 0.3046
0.1325 0.0000 0.6954
0.1868 0.1868 0.1868
0.1868 0.1868 0.8132
0.1868 0.8132 0.1868
0.1868 0.8132 0.8132
0.1954 0.5000 0.3675
0.1954 0.5000 0.6325
0.2500 0.0000 0.5000
0.3046 0.1325 0.0000
0.3046 0.8675 0.0000
0.3132 0.3132 0.3132
0.3132 0.3132 0.6868
0.3132 0.6868 0.3132
0.3132 0.6868 0.6868
0.3675 0.1954 0.5000
0.3675 0.8046 0.5000
0.5000 0.2500 0.0000
0.5000 0.3675 0.1954
0.5000 0.3675 0.8046
0.5000 0.6325 0.1954
0.5000 0.6325 0.8046
0.5000 0.7500 0.0000
0.6325 0.1954 0.5000
0.6325 0.8046 0.5000
0.6868 0.3132 0.3132
0.6868 0.3132 0.6868
0.6868 0.6868 0.3132
0.6868 0.6868 0.6868
0.6954 0.1325 0.0000
0.6954 0.8675 0.0000
0.7500 0.0000 0.5000
0.8046 0.5000 0.3675
0.8046 0.5000 0.6325
0.8132 0.1868 0.1868
0.8132 0.1868 0.8132
0.8132 0.8132 0.1868
0.8132 0.8132 0.8132
0.8675 0.0000 0.3046
0.8675 0.0000 0.6954
```


6.
This entry pairs a crystal structure of Pt5C7 with its theoretical X-ray diffraction stick pattern. Radiation: Cu Kα (λ = 1.5418 Å). Structure: DFT lattice parameters and positions (GGA-PBE).
Peak positions follow from Bragg's law for the DFT cell and can differ from measured ones.

Top 10 peaks for 2θ = 5–70°, sorted by position:
Position (°2θ), Rel. int.
15.52, 52
22.94, 15
31.34, 28
32.01, 69
39.20, 100
40.84, 26
45.41, 14
47.80, 32
64.64, 27
65.78, 14

Structure:
```
Pt5C7
1.0
-4.0363 4.0363 2.2098
4.0363 -4.0363 2.2098
4.0363 4.0363 -2.2098
Pt C
5 7
Direct
0.0000 0.0000 0.0000
0.3583 0.3583 0.6479
0.3583 0.7103 0.0000
0.7103 0.3583 0.0000
0.7103 0.7103 0.3521
0.1668 0.5371 0.6297
0.2867 0.7867 0.5000
0.4325 0.4325 0.0000
0.5371 0.1668 0.6297
0.5371 0.9075 0.3703
0.7867 0.2867 0.5000
0.9075 0.5371 0.3703
```


7.
This entry pairs a crystal structure of Pt4C with its theoretical X-ray diffraction stick pattern. Radiation: Cu Kα (λ = 1.5418 Å). Structure: DFT lattice parameters and positions (GGA-PBE).
Peak positions follow from Bragg's law for the DFT cell and can differ from measured ones.

Top 10 peaks for 2θ = 5–70°, sorted by position:
Position (°2θ), Rel. int.
33.03, 52
34.60, 49
41.08, 100
47.41, 11
48.59, 37
53.42, 7
60.01, 11
64.50, 5
65.23, 8
66.43, 25

Structure:
```
Pt4C
1.0
5.4239 0.0000 0.0000
0.0000 5.4239 0.0000
0.0000 0.0000 5.1842
Pt C
8 2
Direct
0.1863 0.6903 0.0000
0.1903 0.3137 0.5000
0.3097 0.1863 0.0000
0.3137 0.8097 0.5000
0.6863 0.1903 0.5000
0.6903 0.8137 0.0000
0.8097 0.6863 0.5000
0.8137 0.3097 0.0000
0.0000 0.0000 0.5000
0.5000 0.5000 0.0000
```


8.
This entry pairs a crystal structure of Pt3C5 with its theoretical X-ray diffraction stick pattern. Radiation: Cu Kα (λ = 1.5418 Å). Structure: DFT lattice parameters and positions (GGA-PBE).
Peak positions follow from Bragg's law for the DFT cell and can differ from measured ones.

Top 10 peaks for 2θ = 5–70°, sorted by position:
Position (°2θ), Rel. int.
28.38, 11
29.06, 44
30.02, 42
34.52, 100
40.56, 52
50.67, 38
57.98, 32
58.71, 17
66.83, 17
69.92, 27

Structure:
```
Pt3C5
1.0
3.1452 0.0000 0.0000
0.0000 3.1452 0.0000
0.0000 0.0000 9.2184
Pt C
3 5
Direct
0.0000 0.0000 0.0000
0.5000 0.5000 0.3010
0.5000 0.5000 0.6990
0.0000 0.0000 0.3556
0.0000 0.0000 0.5000
0.0000 0.0000 0.6444
0.5000 0.5000 0.0745
0.5000 0.5000 0.9255
```


9.
This entry pairs a crystal structure of Sc6Pt2C with its theoretical X-ray diffraction stick pattern. Radiation: Cu Kα (λ = 1.5418 Å). Structure: DFT lattice parameters and positions (GGA-PBE).
Peak positions follow from Bragg's law for the DFT cell and can differ from measured ones.

Top 10 peaks for 2θ = 5–70°, sorted by position:
Position (°2θ), Rel. int.
19.82, 100
20.25, 58
28.39, 39
28.57, 40
34.51, 71
35.21, 43
35.51, 42
40.26, 38
41.68, 36
45.81, 47

Structure:
```
Sc6Pt2C
1.0
6.2255 0.0000 0.0000
0.0000 6.4532 0.0000
-6.1506 0.0000 8.7716
Sc Pt C
12 4 2
Direct
0.1592 0.0233 0.2461
0.1592 0.4767 0.7461
0.2381 0.7073 0.0473
0.2381 0.7927 0.5473
0.3410 0.1903 0.0448
0.3410 0.3097 0.5448
0.6590 0.6903 0.4552
0.6590 0.8097 0.9552
0.7619 0.2073 0.4527
0.7619 0.2927 0.9527
0.8408 0.5233 0.2539
0.8408 0.9767 0.7539
0.2692 0.0633 0.7524
0.2692 0.4367 0.2524
0.7308 0.5633 0.7476
0.7308 0.9367 0.2476
0.0000 0.0000 0.0000
0.0000 0.5000 0.5000
```